[1]
Computed X-ray diffraction stick pattern of CaMn3V4O12 for a wavelength of 1.5418 Å, from a DFT-relaxed cell (GGA+U, the Materials Project).
Kinematic intensities with the Lorentz-polarization factor, no thermal factor.

Most intense lines, 10 to 90 degrees two-theta, in order of rising 2θ:
33.5°, I = 100
33.7°, I = 26
33.8°, I = 24
47.8°, I = 18
48.5°, I = 34
59.8°, I = 24
60.2°, I = 24
60.3°, I = 24

Atomic structure:
a = 6.5260 Å, b = 6.5260 Å, c = 7.5077 Å
α = 125.00°, β = 125.00°, γ = 71.35°
Positions (direct):
1 Ca 0.0000 0.0000 0.0000
2 Mn 0.0000 0.0000 0.5000
3 Mn 0.5000 0.5000 0.0000
4 Mn 0.5000 0.5000 0.5000
5 V 0.0000 0.5000 0.0000
6 V 0.0000 0.5000 0.5000
7 V 0.5000 0.0000 0.0000
8 V 0.5000 0.0000 0.5000
9 O 0.1045 0.4893 0.3036
10 O 0.1902 0.1902 0.8951
11 O 0.1939 0.1939 0.4917
12 O 0.2865 0.6988 0.1831
13 O 0.3012 0.7135 0.8169
14 O 0.4893 0.1045 0.3036
15 O 0.5107 0.8955 0.6964
16 O 0.6988 0.2865 0.1831
17 O 0.7135 0.3012 0.8169
18 O 0.8061 0.8061 0.5083
19 O 0.8098 0.8098 0.1049
20 O 0.8955 0.5107 0.6964

[2]
Computed X-ray diffraction stick pattern of La2GaCoO6 for a wavelength of 1.5418 Å, from a DFT-relaxed cell (GGA+U, the Materials Project).
Kinematic intensities with the Lorentz-polarization factor, no thermal factor.

Most intense lines, 10 to 90 degrees two-theta, in order of rising 2θ:
22.8°, I = 19
32.2°, I = 98
32.6°, I = 100
39.8°, I = 19
46.5°, I = 60
57.5°, I = 22
57.7°, I = 40
58.3°, I = 19

Atomic structure:
a = 5.5001 Å, b = 5.5001 Å, c = 5.5001 Å
α = 60.63°, β = 60.63°, γ = 60.63°
Positions (direct):
1 La 0.2501 0.2501 0.2501
2 La 0.7499 0.7499 0.7499
3 Ga 0.0000 0.0000 0.0000
4 Co 0.5000 0.5000 0.5000
5 O 0.1923 0.3077 0.7493
6 O 0.2507 0.8077 0.6923
7 O 0.3077 0.7493 0.1923
8 O 0.6923 0.2507 0.8077
9 O 0.7493 0.1923 0.3077
10 O 0.8077 0.6923 0.2507

[3]
Computed X-ray diffraction stick pattern of NbFePb2O6 for a wavelength of 1.5418 Å, from a DFT-relaxed cell (GGA+U, the Materials Project).
Kinematic intensities with the Lorentz-polarization factor, no thermal factor.

Most intense lines, 10 to 90 degrees two-theta, in order of rising 2θ:
21.9°, I = 19
31.2°, I = 100
38.5°, I = 17
44.8°, I = 29
50.4°, I = 10
55.6°, I = 41
65.1°, I = 18
74.0°, I = 18

Atomic structure:
a = 5.7277 Å, b = 5.7277 Å, c = 5.7277 Å
α = 60.00°, β = 60.00°, γ = 60.00°
Positions (direct):
1 Nb 0.0000 0.0000 0.0000
2 Fe 0.5000 0.5000 0.5000
3 Pb 0.2500 0.2500 0.2500
4 Pb 0.7500 0.7500 0.7500
5 O 0.2492 0.2492 0.7508
6 O 0.2492 0.7508 0.2492
7 O 0.2492 0.7508 0.7508
8 O 0.7508 0.2492 0.2492
9 O 0.7508 0.2492 0.7508
10 O 0.7508 0.7508 0.2492